Theoretical XRD peak list of Sm2Ag6Pb for CuKα, from the GGA-PBE geometry in Alexandria.
Intensities are scaled so that the largest is 100.

Most intense lines, 10 to 90 degrees two-theta, by angle:
Position (°2θ)  I/Imax
32.66  60
33.41  57
34.82  36
34.97  34
36.59  100
38.04  38

Atomic structure:
```
Sm2Ag6Pb
1.0
6.441 -2.920 0.000
6.441 2.920 0.000
-0.931 0.000 5.473
Sm Ag Pb
2 6 1
Cartesian
1.795 0.000 0.851
10.155 0.000 4.622
4.815 1.478 1.955
3.090 0.000 3.712
7.136 1.478 3.518
4.815 -1.478 1.955
8.861 0.000 1.761
7.136 -1.478 3.518
6.441 0.000 0.000
```

***

Theoretical XRD peak list of Pm3Ho3Er2 for CuKα, from the GGA-PBE geometry in Alexandria.
Intensities are scaled so that the largest is 100.

Most intense lines, 10 to 90 degrees two-theta, by angle:
Position (°2θ)  I/Imax
30.70  100
35.60  51
51.23  36
60.89  29
60.98  14
83.56  18

Atomic structure:
```
Pm3Ho3Er2
1.0
5.037 0.000 0.000
0.000 5.046 0.000
0.000 0.000 20.192
Pm Ho Er
6 6 4
Cartesian
0.000 0.000 0.000
0.000 2.523 2.535
0.000 2.523 17.657
2.519 0.000 7.561
2.519 0.000 12.631
2.519 2.523 10.096
0.000 0.000 10.096
0.000 2.523 7.540
0.000 2.523 12.652
2.519 0.000 2.556
2.519 0.000 17.636
2.519 2.523 0.000
0.000 0.000 5.038
0.000 0.000 15.154
2.519 2.523 5.058
2.519 2.523 15.133
```

***

Theoretical XRD peak list of Dy2ScSb3 for CuKα, from the GGA-PBE geometry in Alexandria.
Intensities are scaled so that the largest is 100.

Most intense lines, 10 to 90 degrees two-theta, by angle:
Position (°2θ)  I/Imax
29.19  51
29.30  100
41.85  95
51.89  40
68.85  33
76.50  24

Atomic structure:
```
Dy2ScSb3
1.0
4.312 0.000 0.000
0.000 6.120 0.000
0.000 0.000 12.927
Dy Sc Sb
4 2 6
Cartesian
0.000 0.000 2.186
0.000 0.000 10.741
2.156 3.060 4.277
2.156 3.060 8.649
0.000 0.000 6.463
2.156 3.060 0.000
0.000 3.060 2.050
0.000 3.060 6.463
0.000 3.060 10.877
2.156 0.000 0.000
2.156 0.000 4.413
2.156 0.000 8.513
```